[1]
This entry pairs a crystal structure of SrGaSn with its computed powder diffractogram. Radiation: λ = 1.5418 Å (Cu Kα). Structure: a structure optimized by DFT (PBE).
Peak positions follow from Bragg's law for the DFT cell and can differ from measured ones.

Principal peaks in the range 2θ = 10–90°, low angle first:
| 2theta | I/Imax |
| --- | --- |
| 18.20 | 10 |
| 29.07 | 100 |
| 36.88 | 10 |
| 39.46 | 47 |
| 43.62 | 17 |
| 49.75 | 23 |
| 55.11 | 20 |
| 61.73 | 13 |
| 65.28 | 20 |
| 88.97 | 10 |

Crystal structure
Cell lengths 4.568, 4.568, 4.874 Å; angles 90.00, 90.00, 120.00 degrees
Fractional coordinates of all 3 atoms:
Sr1 0.000 0.000 0.000
Ga1 0.333 0.667 0.401
Sn1 0.667 0.333 0.548

=====

[2]
This entry pairs a crystal structure of La8Sc2Cd with its computed powder diffractogram. Radiation: λ = 1.5418 Å (Cu Kα). Structure: a structure optimized by DFT (PBE).
Peak positions follow from Bragg's law for the DFT cell and can differ from measured ones.

Principal peaks in the range 2θ = 10–90°, low angle first:
| 2theta | I/Imax |
| --- | --- |
| 22.15 | 15 |
| 28.47 | 13 |
| 30.20 | 22 |
| 30.86 | 18 |
| 31.77 | 35 |
| 32.35 | 100 |
| 44.88 | 13 |
| 48.24 | 10 |
| 56.97 | 19 |
| 58.93 | 11 |

Crystal structure
Cell lengths 9.896, 9.896, 9.896 Å; angles 146.93, 134.86, 57.09 degrees
Fractional coordinates of all 11 atoms:
La1 0.152 0.364 0.789
La2 0.180 0.180 0.000
La3 0.270 0.000 0.270
La4 0.425 0.636 0.789
La5 0.575 0.364 0.211
La6 0.730 0.000 0.730
La7 0.820 0.820 0.000
La8 0.848 0.636 0.211
Sc1 0.306 0.806 0.500
Sc2 0.694 0.194 0.500
Cd1 0.000 0.500 0.500

=====

[3]
This entry pairs a crystal structure of LiAcI2 with its computed powder diffractogram. Radiation: λ = 1.5418 Å (Cu Kα). Structure: a structure optimized by DFT (PBE).
Peak positions follow from Bragg's law for the DFT cell and can differ from measured ones.

Principal peaks in the range 2θ = 10–90°, low angle first:
| 2theta | I/Imax |
| --- | --- |
| 10.01 | 43 |
| 25.06 | 41 |
| 25.74 | 32 |
| 28.30 | 91 |
| 30.09 | 100 |
| 30.36 | 33 |
| 34.45 | 31 |
| 43.73 | 48 |
| 53.99 | 19 |
| 54.16 | 40 |

Crystal structure
Cell lengths 9.151, 9.151, 9.151 Å; angles 26.15, 26.15, 26.15 degrees
Fractional coordinates of all 4 atoms:
Li1 0.000 0.000 0.000
Ac1 0.835 0.835 0.835
I1 0.401 0.401 0.401
I2 0.601 0.601 0.601

=====

[4]
This entry pairs a crystal structure of Ta2Ru3Pt2 with its computed powder diffractogram. Radiation: λ = 1.5418 Å (Cu Kα). Structure: a structure optimized by DFT (PBE).
Peak positions follow from Bragg's law for the DFT cell and can differ from measured ones.

Principal peaks in the range 2θ = 10–90°, low angle first:
| 2theta | I/Imax |
| --- | --- |
| 29.48 | 13 |
| 39.43 | 100 |
| 39.57 | 96 |
| 45.77 | 32 |
| 46.02 | 64 |
| 66.91 | 21 |
| 67.12 | 30 |
| 80.26 | 12 |
| 80.67 | 25 |
| 80.79 | 12 |

Crystal structure
Cell lengths 4.843, 4.843, 6.256 Å; angles 97.81, 97.81, 48.07 degrees
Fractional coordinates of all 7 atoms:
Ta1 0.078 0.078 0.232
Ta2 0.922 0.922 0.768
Ru1 0.212 0.212 0.637
Ru2 0.500 0.500 0.500
Ru3 0.788 0.788 0.363
Pt1 0.357 0.357 0.074
Pt2 0.643 0.643 0.926

=====

[5]
This entry pairs a crystal structure of K4PaS5 with its computed powder diffractogram. Radiation: λ = 1.5418 Å (Cu Kα). Structure: a structure optimized by DFT (PBE).
Peak positions follow from Bragg's law for the DFT cell and can differ from measured ones.

Principal peaks in the range 2θ = 10–90°, low angle first:
| 2theta | I/Imax |
| --- | --- |
| 12.52 | 100 |
| 16.71 | 98 |
| 17.74 | 36 |
| 24.47 | 77 |
| 28.23 | 91 |
| 28.52 | 45 |
| 40.34 | 37 |
| 40.56 | 61 |
| 47.75 | 35 |
| 50.15 | 35 |

Crystal structure
Cell lengths 7.731, 7.731, 7.731 Å; angles 99.43, 99.43, 132.24 degrees
Fractional coordinates of all 10 atoms:
K1 0.092 0.702 0.795
K2 0.298 0.092 0.390
K3 0.702 0.908 0.610
K4 0.908 0.298 0.205
Pa1 0.463 0.463 0.000
S1 0.046 0.046 0.000
S2 0.255 0.426 0.676
S3 0.426 0.751 0.172
S4 0.579 0.255 0.828
S5 0.751 0.579 0.324

=====

[6]
This entry pairs a crystal structure of Tl4SnHg6 with its computed powder diffractogram. Radiation: λ = 1.5418 Å (Cu Kα). Structure: a structure optimized by DFT (PBE).
Peak positions follow from Bragg's law for the DFT cell and can differ from measured ones.

Principal peaks in the range 2θ = 10–90°, low angle first:
| 2theta | I/Imax |
| --- | --- |
| 27.31 | 28 |
| 28.97 | 33 |
| 29.43 | 32 |
| 30.16 | 98 |
| 33.16 | 46 |
| 34.78 | 100 |
| 35.13 | 70 |
| 36.18 | 38 |
| 42.64 | 20 |
| 46.68 | 48 |

Crystal structure
Cell lengths 10.357, 10.357, 6.499 Å; angles 90.00, 90.00, 110.19 degrees
Fractional coordinates of all 22 atoms:
Tl1 0.091 0.909 0.500
Tl2 0.165 0.325 0.548
Tl3 0.313 0.687 0.730
Tl4 0.325 0.165 0.048
Tl5 0.675 0.835 0.548
Tl6 0.687 0.313 0.230
Tl7 0.835 0.675 0.048
Tl8 0.909 0.091 0.000
Sn1 0.299 0.701 0.246
Sn2 0.701 0.299 0.746
Hg1 0.005 0.510 0.316
Hg2 0.144 0.856 0.987
Hg3 0.193 0.387 0.050
Hg4 0.387 0.193 0.550
Hg5 0.490 0.995 0.316
Hg6 0.491 0.509 0.280
Hg7 0.509 0.491 0.780
Hg8 0.510 0.005 0.816
Hg9 0.613 0.807 0.050
Hg10 0.807 0.613 0.550
Hg11 0.856 0.144 0.487
Hg12 0.995 0.490 0.816

=====

[7]
This entry pairs a crystal structure of La3Cu2Au4 with its computed powder diffractogram. Radiation: λ = 1.5418 Å (Cu Kα). Structure: a structure optimized by DFT (PBE).
Peak positions follow from Bragg's law for the DFT cell and can differ from measured ones.

Principal peaks in the range 2θ = 10–90°, low angle first:
| 2theta | I/Imax |
| --- | --- |
| 23.39 | 26 |
| 32.38 | 100 |
| 32.47 | 68 |
| 32.57 | 32 |
| 38.80 | 49 |
| 38.95 | 92 |
| 47.83 | 27 |
| 51.52 | 26 |
| 63.48 | 23 |
| 66.27 | 26 |

Crystal structure
Cell lengths 6.001, 6.001, 8.841 Å; angles 109.40, 109.40, 45.50 degrees
Fractional coordinates of all 9 atoms:
La1 0.000 0.000 0.000
La2 0.334 0.334 0.334
La3 0.666 0.666 0.666
Cu1 0.391 0.391 0.717
Cu2 0.609 0.609 0.283
Au1 0.061 0.061 0.383
Au2 0.285 0.285 0.934
Au3 0.715 0.715 0.066
Au4 0.939 0.939 0.617

=====

[8]
This entry pairs a crystal structure of Pr5Dy6In with its computed powder diffractogram. Radiation: λ = 1.5418 Å (Cu Kα). Structure: a structure optimized by DFT (PBE).
Peak positions follow from Bragg's law for the DFT cell and can differ from measured ones.

Principal peaks in the range 2θ = 10–90°, low angle first:
| 2theta | I/Imax |
| --- | --- |
| 30.59 | 100 |
| 35.47 | 51 |
| 51.04 | 36 |
| 60.66 | 28 |
| 60.74 | 14 |
| 63.69 | 12 |
| 83.18 | 11 |
| 83.26 | 6 |
| 85.78 | 5 |
| 85.93 | 11 |

Crystal structure
Cell lengths 9.470, 9.470, 9.470 Å; angles 149.03, 115.29, 73.46 degrees
Fractional coordinates of all 12 atoms:
Pr1 0.000 0.000 0.000
Pr2 0.163 0.663 0.500
Pr3 0.333 0.333 0.000
Pr4 0.667 0.667 0.000
Pr5 0.837 0.337 0.500
Dy1 0.092 0.836 0.255
Dy2 0.257 0.500 0.757
Dy3 0.419 0.164 0.255
Dy4 0.581 0.836 0.745
Dy5 0.743 0.500 0.243
Dy6 0.908 0.164 0.745
In1 0.500 0.000 0.500